Computed powder diffractogram of Li7Mn2Co3O12 for Cu Kα X-rays, from a cell relaxed with PBE+U.
Peak positions follow from Bragg's law for the DFT cell and can differ from measured ones.

Most intense lines, 15° ≤ 2θ ≤ 90°, sorted by position:
2θ 18.42, I 100
2θ 35.64, I 15
2θ 36.36, I 25
2θ 42.89, I 31
2θ 43.98, I 28
2θ 44.38, I 27
2θ 62.61, I 8
2θ 63.30, I 8
2θ 63.58, I 15
2θ 64.03, I 7

Crystal structure
```
Li7Mn2Co3O12
1.0
2.9263 0.0000 0.0000
-1.3457 7.5458 0.0000
-0.2056 -1.9051 9.6337
Li Mn Co O
7 2 3 12
Direct
0.0000 0.0000 0.0000
0.0738 0.1589 0.7530
0.2515 0.5006 0.2545
0.4276 0.8466 0.7565
0.5724 0.1534 0.2435
0.7485 0.4994 0.7455
0.9262 0.8411 0.2470
0.3343 0.6787 0.0043
0.6657 0.3213 0.9957
0.1661 0.3313 0.4981
0.5000 0.0000 0.5000
0.8339 0.6687 0.5019
0.0830 0.0870 0.3841
0.1494 0.2649 0.1099
0.2025 0.4167 0.8925
0.2806 0.5762 0.6180
0.3790 0.7595 0.3891
0.4447 0.8981 0.1191
0.5553 0.1019 0.8809
0.6210 0.2405 0.6109
0.7194 0.4238 0.3820
0.7975 0.5833 0.1075
0.8506 0.7351 0.8901
0.9170 0.9130 0.6159
```